1.
Dy5In4H: simulated XRD peak list (copper Kα), based on a GGA-PBE-relaxed structure.
Lines closer than 0.1° are merged.

Peak list (8 most intense, 2θ = 15–90°, by intensity)
2.758 Å, rel. 100
2.775 Å, rel. 33
2.247 Å, rel. 22
1.508 Å, rel. 20
1.746 Å, rel. 20
2.387 Å, rel. 20
1.599 Å, rel. 19
3.015 Å, rel. 18

```
Dy5In4H
1.0
-4.768 4.768 2.775
4.768 -4.768 2.775
4.768 4.768 -2.775
Dy In H
5 4 1
Direct
0.000 0.000 0.000 Dy
0.296 0.639 0.934 Dy
0.362 0.296 0.657 Dy
0.639 0.705 0.343 Dy
0.705 0.362 0.066 Dy
0.031 0.342 0.372 In
0.342 0.970 0.311 In
0.659 0.031 0.689 In
0.970 0.659 0.628 In
0.591 0.591 0.000 H
```

=====

2.
Sm4SiPd: simulated XRD peak list (copper Kα), based on a GGA-PBE-relaxed structure.
Lines closer than 0.1° are merged.

Peak list (8 most intense, 2θ = 15–90°, by intensity)
2.513 Å, rel. 100
2.615 Å, rel. 95
2.645 Å, rel. 91
2.996 Å, rel. 86
5.131 Å, rel. 66
3.295 Å, rel. 55
1.983 Å, rel. 53
1.766 Å, rel. 39

```
Sm4SiPd
1.0
2.645 -10.530 0.000
2.645 10.530 0.000
0.000 0.000 6.251
Sm Si Pd
8 2 2
Direct
0.057 0.943 0.500 Sm
0.196 0.804 0.761 Sm
0.211 0.789 0.277 Sm
0.387 0.613 0.535 Sm
0.613 0.387 0.035 Sm
0.789 0.211 0.777 Sm
0.804 0.196 0.261 Sm
0.943 0.057 0.000 Sm
0.339 0.661 0.015 Si
0.661 0.339 0.515 Si
0.077 0.923 0.007 Pd
0.923 0.077 0.507 Pd
```

=====

3.
BaNa2U2S7: simulated XRD peak list (copper Kα), based on a GGA-PBE-relaxed structure.
Lines closer than 0.1° are merged.

Peak list (8 most intense, 2θ = 15–90°, by intensity)
3.538 Å, rel. 100
4.382 Å, rel. 76
5.119 Å, rel. 67
2.620 Å, rel. 65
3.705 Å, rel. 53
2.105 Å, rel. 43
2.331 Å, rel. 35
1.769 Å, rel. 29

```
BaNa2U2S7
1.0
-2.618 2.622 11.990
2.618 -2.622 11.990
2.618 2.622 -11.990
Ba Na U S
1 2 2 7
Direct
0.000 0.000 0.000 Ba
0.249 0.749 0.500 Na
0.751 0.251 0.500 Na
0.392 0.392 0.000 U
0.608 0.608 0.000 U
0.099 0.599 0.500 S
0.287 0.287 0.000 S
0.402 0.902 0.500 S
0.500 0.500 0.000 S
0.598 0.098 0.500 S
0.713 0.713 0.000 S
0.901 0.401 0.500 S
```

=====

4.
Nd4Sm2Y: simulated XRD peak list (copper Kα), based on a GGA-PBE-relaxed structure.
Lines closer than 0.1° are merged.

Peak list (8 most intense, 2θ = 15–90°, by intensity)
2.867 Å, rel. 100
2.763 Å, rel. 98
2.856 Å, rel. 97
1.616 Å, rel. 36
1.954 Å, rel. 36
1.612 Å, rel. 35
3.543 Å, rel. 27
1.236 Å, rel. 17

```
Nd4Sm2Y
1.0
5.527 -5.527 0.000
5.527 5.527 0.000
-0.048 0.000 8.403
Nd Sm Y
8 4 2
Direct
0.247 0.748 0.719 Nd
0.249 0.249 0.719 Nd
0.250 0.250 0.281 Nd
0.252 0.753 0.281 Nd
0.748 0.247 0.719 Nd
0.750 0.750 0.719 Nd
0.751 0.751 0.281 Nd
0.753 0.252 0.281 Nd
0.000 0.500 0.000 Sm
0.500 0.000 0.000 Sm
0.500 0.500 0.000 Sm
0.500 0.500 0.500 Sm
0.000 0.000 0.000 Y
0.000 0.000 0.500 Y
```

=====

Which formula does entry 2 have?
Sm4SiPd

=====

Number 2 is which compound?
Sm4SiPd